KMg14Sb: calculated PXRD pattern (Cu Kα (weighted mean of Kα1 and Kα2)), based on the GGA-PBE geometry in the Materials Project.

Unit cell a=6.5208 b=6.5208 c=10.7107 alpha=90.00 beta=90.00 gamma=120.00
Space group P-6m2 (No. 187)
Unique sites:
K (0.0000, 0.0000, 0.0000) (multiplicity 1)
Mg (0.0064, 0.5032, 0.0000) (multiplicity 3)
Mg (0.1704, 0.3408, 0.2571) (multiplicity 6)
Mg (0.5023, 0.0045, 0.5000) (multiplicity 3)
Mg (0.6667, 0.3333, 0.2455) (multiplicity 2)
Sb (0.0000, 0.0000, 0.5000) (multiplicity 1)

Top 8 peaks for 5° ≤ 2θ ≤ 70°, in order of rising 2θ:
5.647 Å, 15.69°, rel. 21, (1 0 0); 4.995 Å, 17.76°, rel. 18, (1 0 1); 3.886 Å, 22.89°, rel. 21, (1 0 2); 2.824 Å, 31.69°, rel. 27, (2 0 0); 2.678 Å, 33.47°, rel. 27, (0 0 4); 2.498 Å, 35.96°, rel. 100, (2 0 2); 1.509 Å, 61.45°, rel. 19, (2 0 6); 1.392 Å, 67.24°, rel. 19, (2 2 4)

---

KMgSb: calculated PXRD pattern (Cu Kα (weighted mean of Kα1 and Kα2)), based on the GGA-PBE geometry in the Materials Project.

Unit cell a=4.8453 b=4.8453 c=8.3559 alpha=90.00 beta=90.00 gamma=90.00
Space group P4/nmm (No. 129, origin choice 2)
Unique sites:
K (0.2500, 0.2500, 0.1493) (multiplicity 2)
Mg (0.2500, 0.7500, 0.5000) (multiplicity 2)
Sb (0.2500, 0.2500, 0.7008) (multiplicity 2)

Top 8 peaks for 5° ≤ 2θ ≤ 70°, in order of rising 2θ:
4.189 Å, 21.21°, rel. 100, (0 0 2); 3.426 Å, 26.01°, rel. 68, (1 1 0); 3.164 Å, 28.20°, rel. 72, (1 0 2); 2.649 Å, 33.84°, rel. 68, (1 1 2); 2.423 Å, 37.11°, rel. 49, (2 0 0); 2.097 Å, 43.14°, rel. 39, (2 0 2); 1.924 Å, 47.25°, rel. 32, (2 1 2); 1.712 Å, 53.53°, rel. 30, (2 2 0)

---

KMg14Si: calculated PXRD pattern (Cu Kα (weighted mean of Kα1 and Kα2)), based on the GGA-PBE geometry in the Materials Project.

Unit cell a=6.4014 b=6.4014 c=10.7430 alpha=90.00 beta=90.00 gamma=120.00
Space group P-6m2 (No. 187)
Unique sites:
K (0.0000, 0.0000, 0.0000) (multiplicity 1)
Mg (0.0079, 0.5039, 0.0000) (multiplicity 3)
Mg (0.1670, 0.3339, 0.2655) (multiplicity 6)
Mg (0.5023, 0.0047, 0.5000) (multiplicity 3)
Mg (0.6667, 0.3333, 0.2426) (multiplicity 2)
Si (0.0000, 0.0000, 0.5000) (multiplicity 1)

Top 8 peaks for 5° ≤ 2θ ≤ 70°, in order of rising 2θ:
2.772 Å, 32.30°, rel. 24, (2 0 0); 2.686 Å, 33.36°, rel. 28, (0 0 4); 2.463 Å, 36.48°, rel. 100, (2 0 2); 1.929 Å, 47.12°, rel. 15, (2 0 4); 1.600 Å, 57.60°, rel. 17, (2 2 0); 1.504 Å, 61.67°, rel. 18, (2 0 6); 1.386 Å, 67.59°, rel. 3, (4 0 0); 1.375 Å, 68.22°, rel. 18, (2 2 4)

---

KMg14Si: calculated PXRD pattern (Cu Kα (weighted mean of Kα1 and Kα2)), based on the GGA-PBE geometry in the Materials Project.

Unit cell a=10.2358 b=6.1836 c=12.1795 alpha=90.00 beta=90.00 gamma=90.00
Space group Amm2 (No. 38)
Unique sites:
K (0.0000, 0.0000, 0.0000) (multiplicity 2)
Mg (0.0000, 0.2432, 0.2491) (multiplicity 4)
Mg (0.2258, 0.0000, 0.6342) (multiplicity 4)
Mg (0.2533, 0.2408, 0.3924) (multiplicity 8)
Mg (0.2654, 0.0000, 0.1539) (multiplicity 4)
Mg (0.5000, 0.0000, 0.4874) (multiplicity 2)
Mg (0.5000, 0.0000, 0.9810) (multiplicity 2)
Mg (0.5000, 0.2451, 0.7354) (multiplicity 4)
Si (0.0000, 0.0000, 0.4444) (multiplicity 2)

Top 8 peaks for 5° ≤ 2θ ≤ 70°, in order of rising 2θ:
2.757 Å, 32.48°, rel. 32, (0 2 2); 2.617 Å, 34.27°, rel. 70, (2 0 4); 2.559 Å, 35.07°, rel. 41, (4 0 0); 2.427 Å, 37.04°, rel. 100, (2 2 2); 1.876 Å, 48.54°, rel. 18, (4 2 2); 1.697 Å, 54.04°, rel. 19, (0 2 6); 1.451 Å, 64.20°, rel. 16, (6 2 2); 1.414 Å, 66.07°, rel. 19, (4 2 6)

---

KMg14Sn: calculated PXRD pattern (Cu Kα (weighted mean of Kα1 and Kα2)), based on the GGA-PBE geometry in the Materials Project.

Unit cell a=6.4808 b=6.4808 c=10.8611 alpha=90.00 beta=90.00 gamma=120.00
Space group P-6m2 (No. 187)
Unique sites:
K (0.0000, 0.0000, 0.0000) (multiplicity 1)
Mg (0.0065, 0.5033, 0.0000) (multiplicity 3)
Mg (0.1701, 0.3402, 0.2579) (multiplicity 6)
Mg (0.5015, 0.0030, 0.5000) (multiplicity 3)
Mg (0.6667, 0.3333, 0.2435) (multiplicity 2)
Sn (0.0000, 0.0000, 0.5000) (multiplicity 1)

Top 8 peaks for 5° ≤ 2θ ≤ 70°, in order of rising 2θ:
5.613 Å, 15.79°, rel. 20, (1 0 0); 3.903 Å, 22.79°, rel. 20, (1 0 2); 2.806 Å, 31.89°, rel. 26, (2 0 0); 2.715 Å, 32.99°, rel. 31, (0 0 4); 2.493 Å, 36.02°, rel. 100, (2 0 2); 1.951 Å, 46.54°, rel. 18, (2 0 4); 1.521 Å, 60.90°, rel. 20, (2 0 6); 1.391 Å, 67.30°, rel. 20, (2 2 4)

---

KMg14Sn: calculated PXRD pattern (Cu Kα (weighted mean of Kα1 and Kα2)), based on the GGA-PBE geometry in the Materials Project.

Unit cell a=10.6379 b=6.5834 c=11.2452 alpha=90.00 beta=90.00 gamma=90.00
Space group Amm2 (No. 38)
Unique sites:
K (0.0000, 0.0000, 0.0000) (multiplicity 2)
Mg (0.0000, 0.2433, 0.2508) (multiplicity 4)
Mg (0.2462, 0.0000, 0.6686) (multiplicity 4)
Mg (0.2621, 0.2434, 0.4175) (multiplicity 8)
Mg (0.2646, 0.0000, 0.1728) (multiplicity 4)
Mg (0.5000, 0.0000, 0.0003) (multiplicity 2)
Mg (0.5000, 0.0000, 0.5024) (multiplicity 2)
Mg (0.5000, 0.2464, 0.7502) (multiplicity 4)
Sn (0.0000, 0.0000, 0.4948) (multiplicity 2)

Top 8 peaks for 5° ≤ 2θ ≤ 70°, in order of rising 2θ:
10.638 Å, 8.31°, rel. 32, (1 0 0); 5.011 Å, 17.70°, rel. 17, (1 1 1); 2.841 Å, 31.49°, rel. 24, (0 2 2); 2.659 Å, 33.70°, rel. 37, (4 0 0); 2.506 Å, 35.84°, rel. 100, (2 2 2); 2.485 Å, 36.14°, rel. 45, (2 0 4); 1.504 Å, 61.67°, rel. 20, (6 2 2); 1.389 Å, 67.43°, rel. 18, (4 2 6)

---

K2Mg5Sn3: calculated PXRD pattern (Cu Kα (weighted mean of Kα1 and Kα2)), based on the GGA-PBE geometry in the Materials Project.

Unit cell a=4.9988 b=4.9988 c=23.6669 alpha=90.00 beta=90.00 gamma=90.00
Space group I4/mmm (No. 139)
Unique sites:
K (0.0000, 0.0000, 0.1990) (multiplicity 4)
Mg (0.0000, 0.0000, 0.5000) (multiplicity 2)
Mg (0.0000, 0.5000, 0.0786) (multiplicity 8)
Sn (0.0000, 0.0000, 0.0000) (multiplicity 2)
Sn (0.0000, 0.0000, 0.3584) (multiplicity 4)

Top 8 peaks for 5° ≤ 2θ ≤ 70°, in order of rising 2θ:
11.833 Å, 7.47°, rel. 34, (0 0 2); 4.223 Å, 21.04°, rel. 100, (1 0 3); 3.535 Å, 25.19°, rel. 77, (1 1 0); 3.437 Å, 25.92°, rel. 62, (1 0 5); 2.632 Å, 34.06°, rel. 92, (1 1 6); 2.499 Å, 35.93°, rel. 75, (2 0 0); 2.269 Å, 39.73°, rel. 34, (1 1 8); 2.151 Å, 42.01°, rel. 37, (2 1 3)

---

KSrMg6: calculated PXRD pattern (Cu Kα (weighted mean of Kα1 and Kα2)), based on the GGA-PBE geometry in the Materials Project.

Unit cell a=5.5662 b=7.0407 c=12.3400 alpha=90.00 beta=90.00 gamma=90.00
Space group Amm2 (No. 38)
Unique sites:
K (0.0000, 0.0000, 0.0000) (multiplicity 2)
Sr (0.5000, 0.0000, 0.8216) (multiplicity 2)
Mg (0.0000, 0.0000, 0.4936) (multiplicity 2)
Mg (0.0000, 0.2427, 0.2413) (multiplicity 4)
Mg (0.5000, 0.0000, 0.3258) (multiplicity 2)
Mg (0.5000, 0.2424, 0.5800) (multiplicity 4)

Top 8 peaks for 5° ≤ 2θ ≤ 70°, in order of rising 2θ:
6.115 Å, 14.48°, rel. 27, (0 1 1); 4.124 Å, 21.55°, rel. 33, (1 0 2); 3.058 Å, 29.21°, rel. 24, (0 2 2); 2.783 Å, 32.16°, rel. 36, (2 0 0); 2.698 Å, 33.20°, rel. 47, (1 0 4); 2.680 Å, 33.44°, rel. 100, (1 2 2); 1.776 Å, 51.46°, rel. 23, (0 2 6); 1.497 Å, 61.99°, rel. 20, (2 2 6)